# 1
CsMn2TcCl8: calculated powder X-ray diffraction pattern (Cu Ka), based on a cell relaxed with PBE.

Main lines, most intense first (2θ = 5–70°):
| 2θ/deg | I/Imax |
| --- | --- |
| 18.82 | 100 |
| 24.76 | 39 |
| 40.29 | 29 |
| 38.16 | 18 |
| 31.04 | 16 |
| 50.78 | 15 |
| 45.34 | 14 |
| 27.80 | 10 |

Structure:
```
CsMn2TcCl8
1.0
3.596 2.076 9.627
-3.596 2.076 9.627
0.000 -4.152 9.627
Cs Mn Tc Cl
1 2 1 8
Direct
0.000 0.000 0.000
0.236 0.236 0.236
0.764 0.764 0.764
0.500 0.500 0.500
0.146 0.597 0.602
0.315 0.315 0.315
0.398 0.403 0.854
0.403 0.854 0.398
0.597 0.602 0.146
0.602 0.146 0.597
0.685 0.685 0.685
0.854 0.398 0.403
```

# 2
Na3AgSb4: calculated powder X-ray diffraction pattern (Cu Ka), based on a cell relaxed with PBE.

Main lines, most intense first (2θ = 5–70°):
| 2θ/deg | I/Imax |
| --- | --- |
| 32.50 | 100 |
| 27.50 | 78 |
| 18.17 | 47 |
| 47.39 | 43 |
| 38.40 | 41 |
| 36.82 | 40 |
| 33.16 | 40 |
| 46.56 | 36 |

Structure:
```
Na3AgSb4
1.0
-1.672 4.883 6.673
1.672 -4.883 6.673
1.672 4.883 -6.673
Na Ag Sb
3 1 4
Direct
0.000 0.000 0.000
0.278 0.778 0.500
0.722 0.222 0.500
0.500 0.500 0.000
0.138 0.388 0.750
0.362 0.612 0.750
0.638 0.388 0.250
0.862 0.612 0.250
```

# 3
CsY2MgTe4: calculated powder X-ray diffraction pattern (Cu Ka), based on a cell relaxed with PBE.

Main lines, most intense first (2θ = 5–70°):
| 2θ/deg | I/Imax |
| --- | --- |
| 26.60 | 100 |
| 28.36 | 50 |
| 25.08 | 44 |
| 38.68 | 43 |
| 39.93 | 31 |
| 47.76 | 19 |
| 34.98 | 14 |
| 38.18 | 14 |

Structure:
```
CsY2MgTe4
1.0
2.257 -7.895 0.000
2.257 7.895 0.000
0.000 0.000 15.903
Cs Y Mg Te
2 4 2 8
Direct
0.116 0.884 0.750
0.884 0.116 0.250
0.377 0.623 0.554
0.377 0.623 0.946
0.623 0.377 0.054
0.623 0.377 0.446
0.168 0.832 0.250
0.832 0.168 0.750
0.000 0.000 0.000
0.000 0.000 0.500
0.258 0.742 0.102
0.258 0.742 0.398
0.432 0.568 0.750
0.568 0.432 0.250
0.742 0.258 0.602
0.742 0.258 0.898
```